(1)
For Te4Mo3, the PBE geometry in the Materials Project gives the simulated powder diffraction line list in this record (Cu Kα (weighted mean of Kα1 and Kα2)).
Intensities are scaled so that the largest is 100.

```
Te4Mo3
1.0
5.1709 2.9854 3.9898
-5.1709 2.9854 3.9898
0.0000 -5.9708 3.9898
Te Mo
8 6
Direct
0.1181 0.7414 0.3820
0.2145 0.2145 0.2145
0.2586 0.6180 0.8819
0.3820 0.1181 0.7414
0.6180 0.8819 0.2586
0.7414 0.3820 0.1181
0.7855 0.7855 0.7855
0.8819 0.2586 0.6180
0.2462 0.4190 0.5468
0.4190 0.5468 0.2462
0.4532 0.7538 0.5810
0.5468 0.2462 0.4190
0.5810 0.4532 0.7538
0.7538 0.5810 0.4532
```

Peak list (6 most intense, 5 to 70 degrees two-theta, in order of rising 2θ)
2theta, Rel. int.
12.34, 97.4
28.25, 70.1
29.93, 59.0
36.96, 42.9
41.62, 100.0
46.74, 43.9

=====

(2)
For Hf4AgPd, the PBE geometry in the Materials Project gives the simulated powder diffraction line list in this record (Cu Kα (weighted mean of Kα1 and Kα2)).
Intensities are scaled so that the largest is 100.

```
Hf4AgPd
1.0
3.2440 0.0000 0.0000
0.0000 3.2440 0.0000
0.0000 0.0000 11.4867
Hf Ag Pd
4 1 1
Direct
0.0000 0.0000 0.1539
0.0000 0.0000 0.8461
0.5000 0.5000 0.3294
0.5000 0.5000 0.6706
0.0000 0.0000 0.5000
0.5000 0.5000 0.0000
```

Peak list (6 most intense, 5 to 70 degrees two-theta, in order of rising 2θ)
2theta, Rel. int.
36.30, 100.0
39.28, 41.9
47.49, 10.9
56.75, 15.1
63.27, 18.4
69.26, 30.2

=====

(3)
For Cs5Sb8, the PBE geometry in the Materials Project gives the simulated powder diffraction line list in this record (Cu Kα (weighted mean of Kα1 and Kα2)).
Intensities are scaled so that the largest is 100.

```
Cs5Sb8
1.0
7.4707 0.0000 0.0000
0.0000 11.6604 0.0000
-3.2700 0.0000 28.0203
Cs Sb
20 32
Direct
0.0232 0.0709 0.4261
0.0232 0.4291 0.9261
0.2135 0.5365 0.2424
0.2135 0.9635 0.7424
0.2425 0.1031 0.0213
0.2425 0.3969 0.5213
0.2638 0.1925 0.1901
0.2638 0.3075 0.6901
0.4744 0.6861 0.6223
0.4744 0.8139 0.1223
0.5256 0.1861 0.8777
0.5256 0.3139 0.3777
0.7362 0.6925 0.3099
0.7362 0.8075 0.8099
0.7575 0.6031 0.4787
0.7575 0.8969 0.9787
0.7865 0.0365 0.2576
0.7865 0.4635 0.7576
0.9768 0.5709 0.0739
0.9768 0.9291 0.5739
0.0153 0.2000 0.8165
0.0153 0.3000 0.3165
0.0313 0.0391 0.8911
0.0313 0.4609 0.3911
0.1953 0.6422 0.8370
0.1953 0.8578 0.3370
0.2609 0.7477 0.4756
0.2609 0.7523 0.9756
0.3047 0.6293 0.7441
0.3047 0.8707 0.2441
0.3085 0.6391 0.3872
0.3085 0.8609 0.8872
0.4391 0.0970 0.5276
0.4391 0.4030 0.0276
0.4867 0.0249 0.6253
0.4867 0.4751 0.1253
0.5133 0.5249 0.8747
0.5133 0.9751 0.3747
0.5609 0.5970 0.9724
0.5609 0.9030 0.4724
0.6915 0.1391 0.1128
0.6915 0.3609 0.6128
0.6953 0.1293 0.7559
0.6953 0.3707 0.2559
0.7391 0.2477 0.0244
0.7391 0.2523 0.5244
0.8047 0.1422 0.6630
0.8047 0.3578 0.1630
0.9687 0.5391 0.6089
0.9687 0.9609 0.1089
0.9847 0.7000 0.6835
0.9847 0.8000 0.1835
```

Peak list (6 most intense, 5 to 70 degrees two-theta, in order of rising 2θ)
2theta, Rel. int.
25.21, 28.5
25.29, 28.4
25.98, 33.1
26.29, 100.0
28.25, 31.6
29.72, 28.0

=====

(4)
For BaSrLa4O8, the PBE geometry in the Materials Project gives the simulated powder diffraction line list in this record (Cu Kα (weighted mean of Kα1 and Kα2)).
Intensities are scaled so that the largest is 100.

```
BaSrLa4O8
1.0
3.6777 0.0000 0.0000
0.0000 12.6089 0.0000
0.0000 0.0000 10.6199
Ba Sr La O
2 2 8 16
Direct
0.0000 0.1042 0.0000
0.0000 0.8958 0.5000
0.5000 0.3974 0.4965
0.5000 0.6026 0.9965
0.0000 0.1409 0.3348
0.0000 0.3678 0.8201
0.0000 0.6322 0.3201
0.0000 0.8591 0.8348
0.5000 0.1373 0.6737
0.5000 0.3641 0.1645
0.5000 0.6359 0.6645
0.5000 0.8627 0.1737
0.0000 0.0329 0.7352
0.0000 0.2707 0.6140
0.0000 0.3310 0.3214
0.0000 0.4397 0.0323
0.0000 0.5603 0.5323
0.0000 0.6690 0.8214
0.0000 0.7293 0.1140
0.0000 0.9671 0.2352
0.5000 0.0690 0.4636
0.5000 0.1754 0.1825
0.5000 0.2361 0.8757
0.5000 0.4686 0.7598
0.5000 0.5314 0.2598
0.5000 0.7639 0.3757
0.5000 0.8246 0.6825
0.5000 0.9310 0.9636
```

Peak list (6 most intense, 5 to 70 degrees two-theta, in order of rising 2θ)
2theta, Rel. int.
28.31, 48.7
28.93, 100.0
29.35, 76.3
29.55, 38.6
41.38, 40.9
58.42, 28.1